For Sr2LiGe4, DFT lattice parameters and positions (GGA-PBE) gives the computed X-ray powder pattern in this record (Cu Kα).
Lines closer than 0.1° are merged.

Crystal structure
Unit cell a=8.666 b=8.666 c=8.666 alpha=148.45 beta=148.45 gamma=45.22
Sites, in units of the cell vectors:
Sr (0.150, 0.150, 0.000)
Sr (0.850, 0.850, 0.000)
Li (0.500, 0.500, 0.000)
Ge (0.000, 0.500, 0.500)
Ge (0.353, 0.353, 0.000)
Ge (0.500, 0.000, 0.500)
Ge (0.647, 0.647, 0.000)

Principal peaks in the range 5° ≤ 2θ ≤ 70°, in order of rising 2θ:
- 2θ 29.03, rel. 55
- 2θ 33.61, rel. 27
- 2θ 35.05, rel. 100
- 2θ 38.20, rel. 53
- 2θ 51.78, rel. 31
- 2θ 67.02, rel. 29


For BaP3Pd5, DFT lattice parameters and positions (GGA-PBE) gives the computed X-ray powder pattern in this record (Cu Kα).
Lines closer than 0.1° are merged.

Crystal structure
Unit cell a=6.687 b=6.687 c=12.830 alpha=90.00 beta=90.00 gamma=145.96
Sites, in units of the cell vectors:
Ba (0.151, 0.849, 0.750)
Ba (0.849, 0.151, 0.250)
P (0.125, 0.875, 0.250)
P (0.386, 0.614, 0.036)
P (0.386, 0.614, 0.464)
P (0.614, 0.386, 0.536)
P (0.614, 0.386, 0.964)
P (0.875, 0.125, 0.750)
Pd (0.000, 0.000, 0.000)
Pd (0.000, 0.000, 0.500)
Pd (0.209, 0.791, 0.073)
Pd (0.209, 0.791, 0.427)
Pd (0.439, 0.561, 0.646)
Pd (0.439, 0.561, 0.854)
Pd (0.561, 0.439, 0.146)
Pd (0.561, 0.439, 0.354)
Pd (0.791, 0.209, 0.573)
Pd (0.791, 0.209, 0.927)

Principal peaks in the range 5° ≤ 2θ ≤ 70°, in order of rising 2θ:
- 2θ 25.05, rel. 32
- 2θ 31.79, rel. 100
- 2θ 36.91, rel. 57
- 2θ 42.20, rel. 34
- 2θ 44.65, rel. 50
- 2θ 46.40, rel. 37


For PmNdSm2Er2, DFT lattice parameters and positions (GGA-PBE) gives the computed X-ray powder pattern in this record (Cu Kα).
Lines closer than 0.1° are merged.

Crystal structure
Unit cell a=6.588 b=18.096 c=3.418 alpha=90.00 beta=90.00 gamma=90.00
Sites, in units of the cell vectors:
Pm (0.000, 0.000, 0.000)
Pm (0.500, 0.500, 0.500)
Nd (0.000, 0.500, 0.000)
Nd (0.500, 0.000, 0.500)
Sm (0.224, 0.188, 0.000)
Sm (0.276, 0.688, 0.500)
Sm (0.724, 0.312, 0.500)
Sm (0.776, 0.812, 0.000)
Er (0.223, 0.352, 0.500)
Er (0.277, 0.852, 0.000)
Er (0.723, 0.148, 0.000)
Er (0.777, 0.648, 0.500)

Principal peaks in the range 5° ≤ 2θ ≤ 70°, in order of rising 2θ:
- 2θ 28.85, rel. 100
- 2θ 29.62, rel. 79
- 2θ 30.05, rel. 91
- 2θ 33.66, rel. 60
- 2θ 35.63, rel. 39
- 2θ 40.89, rel. 72